(1)
Diffraction record for Cs2PtPbF6. The PXRD pattern is calculated, not measured: it uses DFT lattice parameters and positions (GGA-PBE) and Cu Kα (weighted mean of Kα1 and Kα2).
Intensities are scaled so that the largest is 1000.

Main lines, in order of rising 2θ (15 to 90 degrees two-theta):
25.18 deg, intensity 1000
28.33 deg, intensity 367
30.74 deg, intensity 221
40.50 deg, intensity 216
42.29 deg, intensity 234
48.29 deg, intensity 345

Structural model:
a = 7.328 Å, b = 7.328 Å, c = 7.328 Å
α = 129.08°, β = 129.08°, γ = 74.88°
Fractional coordinates of all 10 atoms:
Cs 0.250 0.750 0.500
Cs 0.750 0.250 0.500
Pt 0.000 0.000 0.000
Pb 0.500 0.500 0.000
F 0.226 0.226 0.451
F 0.226 0.774 0.000
F 0.297 0.297 0.000
F 0.703 0.703 0.000
F 0.774 0.226 0.000
F 0.774 0.774 0.549

=====

(2)
Diffraction record for As2PbS4. The PXRD pattern is calculated, not measured: it uses DFT lattice parameters and positions (GGA-PBE) and Cu Kα (weighted mean of Kα1 and Kα2).
Intensities are scaled so that the largest is 1000.

Main lines, in order of rising 2θ (15 to 90 degrees two-theta):
19.36 deg, intensity 508
21.34 deg, intensity 431
29.35 deg, intensity 464
30.39 deg, intensity 424
30.75 deg, intensity 403
31.89 deg, intensity 1000

Structural model:
a = 9.463 Å, b = 3.761 Å, c = 18.547 Å
α = 90.00°, β = 90.00°, γ = 90.00°
Fractional coordinates of all 28 atoms:
As 0.000 0.250 0.117
As 0.000 0.750 0.883
As 0.162 0.250 0.507
As 0.338 0.750 0.007
As 0.500 0.250 0.383
As 0.500 0.750 0.617
As 0.662 0.250 0.993
As 0.838 0.750 0.493
Pb 0.159 0.750 0.314
Pb 0.341 0.250 0.814
Pb 0.659 0.750 0.186
Pb 0.841 0.250 0.686
S 0.009 0.750 0.582
S 0.125 0.750 0.778
S 0.153 0.750 0.146
S 0.194 0.250 0.954
S 0.306 0.750 0.454
S 0.347 0.250 0.646
S 0.375 0.250 0.278
S 0.491 0.250 0.082
S 0.509 0.750 0.918
S 0.625 0.750 0.722
S 0.653 0.750 0.354
S 0.694 0.250 0.546
S 0.806 0.750 0.046
S 0.847 0.250 0.854
S 0.875 0.250 0.222
S 0.991 0.250 0.418